(1)
Ce2AlHg3: theoretical powder diffractogram (Cu Kα), based on the GGA-PBE geometry in Alexandria.

Atomic structure:
```
data_Ce2AlHg3
_chemical_formula_sum 'Ce16 Al8 Hg24'
_symmetry_space_group_name_H-M 'F m m m'
_symmetry_Int_Tables_number 69
_symmetry_space_group_name_Hall '-F 2 2'
_cell_length_a 6.836
_cell_length_b 9.918
_cell_length_c 17.238
_cell_angle_alpha 90.00
_cell_angle_beta 90.00
_cell_angle_gamma 90.00
loop_
_atom_site_label
_atom_site_type_symbol
_atom_site_fract_x
_atom_site_fract_y
_atom_site_fract_z
Ce1 Ce 0.216 0.000 0.000
Ce2 Ce 0.250 0.250 0.250
Al1 Al 0.000 0.000 0.334
Hg1 Hg 0.000 0.000 0.172
Hg2 Hg 0.000 0.236 0.415
```

Principal peaks in the range 15 to 90 degrees two-theta, by angle:
Position (°2θ), I (rel.)
30.4, 18
33.5, 100
36.2, 97
50.1, 31
63.3, 21
66.4, 30

=====

(2)
Al2TlMo2: theoretical powder diffractogram (Cu Kα), based on the GGA-PBE geometry in Alexandria.

Atomic structure:
```
data_Al2TlMo2
_chemical_formula_sum 'Al4 Tl2 Mo4'
_symmetry_space_group_name_H-M 'P 4/m b m'
_symmetry_Int_Tables_number 127
_symmetry_space_group_name_Hall '-P 4 2ab'
_cell_length_a 7.013
_cell_length_b 7.013
_cell_length_c 3.407
_cell_angle_alpha 90.00
_cell_angle_beta 90.00
_cell_angle_gamma 90.00
loop_
_atom_site_label
_atom_site_type_symbol
_atom_site_fract_x
_atom_site_fract_y
_atom_site_fract_z
Al1 Al 0.126 0.374 0.000
Tl1 Tl 0.000 0.000 0.000
Mo1 Mo 0.169 0.669 0.500
```

Principal peaks in the range 15 to 90 degrees two-theta, by angle:
Position (°2θ), I (rel.)
17.9, 49
31.9, 77
36.2, 37
36.8, 100
39.0, 62
40.7, 86

=====

(3)
Na2Mg2Hg5: theoretical powder diffractogram (Cu Kα), based on the GGA-PBE geometry in Alexandria.

Atomic structure:
```
data_Na2Mg2Hg5
_chemical_formula_sum 'Na8 Mg8 Hg20'
_symmetry_space_group_name_H-M 'C m c e'
_symmetry_Int_Tables_number 64
_symmetry_space_group_name_Hall '-C 2ac 2'
_cell_length_a 15.695
_cell_length_b 7.724
_cell_length_c 7.726
_cell_angle_alpha 90.00
_cell_angle_beta 90.00
_cell_angle_gamma 90.00
loop_
_atom_site_label
_atom_site_type_symbol
_atom_site_fract_x
_atom_site_fract_y
_atom_site_fract_z
Na1 Na 0.203 0.000 0.000
Mg1 Mg 0.000 0.151 0.352
Hg1 Hg 0.000 0.000 0.000
Hg2 Hg 0.128 0.147 0.651
```

Principal peaks in the range 15 to 90 degrees two-theta, by angle:
Position (°2θ), I (rel.)
23.5, 65
25.8, 81
26.4, 56
31.0, 64
34.6, 87
37.3, 100

=====

(4)
Ce2ThInN5: theoretical powder diffractogram (Cu Kα), based on the GGA-PBE geometry in Alexandria.

Atomic structure:
```
data_Ce2ThInN5
_chemical_formula_sum 'Ce8 Th4 In4 N20'
_symmetry_space_group_name_H-M 'C m c 21'
_symmetry_Int_Tables_number 36
_cell_length_a 3.626
_cell_length_b 14.188
_cell_length_c 11.354
_cell_angle_alpha 90.00
_cell_angle_beta 90.00
_cell_angle_gamma 90.00
loop_
_symmetry_equiv_pos_as_xyz
'x,y,z'
'-x,-y,z+1/2'
'-x,y,z'
'x,-y,z+1/2'
'x+1/2,y+1/2,z'
'-x+1/2,-y+1/2,z+1/2'
'-x+1/2,y+1/2,z'
'x+1/2,-y+1/2,z+1/2'
loop_
_atom_site_label
_atom_site_type_symbol
_atom_site_fract_x
_atom_site_fract_y
_atom_site_fract_z
Ce1 Ce 0.000 0.136 0.000
Ce2 Ce 0.000 0.136 0.481
Th1 Th 0.000 0.274 0.241
In1 In 0.000 0.487 0.741
N1 N 0.000 0.097 0.242
N2 N 0.000 0.263 0.596
N3 N 0.000 0.263 0.885
N4 N 0.000 0.406 0.385
N5 N 0.000 0.407 0.096
```

Principal peaks in the range 15 to 90 degrees two-theta, by angle:
Position (°2θ), I (rel.)
26.6, 43
29.7, 100
29.9, 64
31.5, 47
39.3, 27
59.5, 28

=====

(5)
Ag5AuBr8: theoretical powder diffractogram (Cu Kα), based on the GGA-PBE geometry in Alexandria.

Atomic structure:
```
data_Ag5AuBr8
_chemical_formula_sum 'Ag20 Au4 Br32'
_symmetry_space_group_name_H-M 'F -4 3 m'
_symmetry_Int_Tables_number 216
_symmetry_space_group_name_Hall 'F -4 2 3'
_cell_length_a 11.673
_cell_length_b 11.673
_cell_length_c 11.673
_cell_angle_alpha 90.00
_cell_angle_beta 90.00
_cell_angle_gamma 90.00
loop_
_atom_site_label
_atom_site_type_symbol
_atom_site_fract_x
_atom_site_fract_y
_atom_site_fract_z
Ag1 Ag 0.000 0.000 0.000
Ag2 Ag 0.125 0.125 0.625
Au1 Au 0.250 0.250 0.250
Br1 Br 0.119 0.119 0.381
Br2 Br 0.132 0.132 0.868
```

Principal peaks in the range 15 to 90 degrees two-theta, by angle:
Position (°2θ), I (rel.)
21.5, 33
25.3, 86
30.6, 44
40.1, 44
43.9, 100
80.6, 31

=====

(6)
Sc2TiCrAg: theoretical powder diffractogram (Cu Kα), based on the GGA-PBE geometry in Alexandria.

Atomic structure:
```
data_Sc2TiCrAg
_chemical_formula_sum 'Sc2 Ti1 Cr1 Ag1'
_symmetry_space_group_name_H-M 'P 4/m m m'
_symmetry_Int_Tables_number 123
_symmetry_space_group_name_Hall '-P 4 2'
_cell_length_a 4.602
_cell_length_b 4.602
_cell_length_c 4.975
_cell_angle_alpha 90.00
_cell_angle_beta 90.00
_cell_angle_gamma 90.00
loop_
_atom_site_label
_atom_site_type_symbol
_atom_site_fract_x
_atom_site_fract_y
_atom_site_fract_z
Sc1 Sc 0.000 0.500 0.000
Ti1 Ti 0.000 0.000 0.500
Cr1 Cr 0.500 0.500 0.000
Ag1 Ag 0.500 0.500 0.500
```

Principal peaks in the range 15 to 90 degrees two-theta, by angle:
Position (°2θ), I (rel.)
19.3, 70
27.4, 33
32.9, 100
36.1, 46
39.2, 73
54.3, 52

=====

(7)
AcTbAl2Ge: theoretical powder diffractogram (Cu Kα), based on the GGA-PBE geometry in Alexandria.

Atomic structure:
```
data_AcTbAl2Ge
_chemical_formula_sum 'Ac2 Tb2 Al4 Ge2'
_symmetry_space_group_name_H-M 'I m m 2'
_symmetry_Int_Tables_number 44
_cell_length_a 4.461
_cell_length_b 4.621
_cell_length_c 12.477
_cell_angle_alpha 90.00
_cell_angle_beta 90.00
_cell_angle_gamma 90.00
loop_
_symmetry_equiv_pos_as_xyz
'x,y,z'
'-x,-y,z'
'-x,y,z'
'x,-y,z'
'x+1/2,y+1/2,z+1/2'
'-x+1/2,-y+1/2,z+1/2'
'-x+1/2,y+1/2,z+1/2'
'x+1/2,-y+1/2,z+1/2'
loop_
_atom_site_label
_atom_site_type_symbol
_atom_site_fract_x
_atom_site_fract_y
_atom_site_fract_z
Ac1 Ac 0.000 0.000 0.000
Tb1 Tb 0.000 0.500 0.757
Al1 Al 0.000 0.000 0.609
Al2 Al 0.000 0.500 0.240
Ge1 Ge 0.000 0.000 0.402
```

Principal peaks in the range 15 to 90 degrees two-theta, by angle:
Position (°2θ), I (rel.)
20.5, 30
21.1, 22
28.9, 27
29.4, 26
31.3, 100
39.0, 19

=====

(8)
LaV: theoretical powder diffractogram (Cu Kα), based on the GGA-PBE geometry in Alexandria.

Atomic structure:
```
data_LaV
_chemical_formula_sum 'La16 V16'
_symmetry_space_group_name_H-M 'F d d d'
_symmetry_Int_Tables_number 70
_cell_length_a 5.863
_cell_length_b 9.627
_cell_length_c 14.214
_cell_angle_alpha 90.00
_cell_angle_beta 90.00
_cell_angle_gamma 90.00
loop_
_symmetry_equiv_pos_as_xyz
'x,y,z'
'-x,-y,-z'
'-x+1/4,-y+1/4,z'
'x+1/4,y+1/4,-z'
'x,-y+1/4,-z+1/4'
'-x,y+1/4,z+1/4'
'-x+1/4,y,-z+1/4'
'x+1/4,-y,z+1/4'
'x,y+1/2,z+1/2'
'-x,-y+1/2,-z+1/2'
'-x+1/4,-y+3/4,z+1/2'
'x+1/4,y+3/4,-z+1/2'
'x,-y+3/4,-z+3/4'
'-x,y+3/4,z+3/4'
'-x+1/4,y+1/2,-z+3/4'
'x+1/4,-y+1/2,z+3/4'
'x+1/2,y,z+1/2'
'-x+1/2,-y,-z+1/2'
'-x+3/4,-y+1/4,z+1/2'
'x+3/4,y+1/4,-z+1/2'
'x+1/2,-y+1/4,-z+3/4'
'-x+1/2,y+1/4,z+3/4'
'-x+3/4,y,-z+3/4'
'x+3/4,-y,z+3/4'
'x+1/2,y+1/2,z'
'-x+1/2,-y+1/2,-z'
'-x+3/4,-y+3/4,z'
'x+3/4,y+3/4,-z'
'x+1/2,-y+3/4,-z+1/4'
'-x+1/2,y+3/4,z+1/4'
'-x+3/4,y+1/2,-z+1/4'
'x+3/4,-y+1/2,z+1/4'
loop_
_atom_site_label
_atom_site_type_symbol
_atom_site_fract_x
_atom_site_fract_y
_atom_site_fract_z
La1 La 0.125 0.292 0.125
V1 V 0.125 0.125 0.557
```

Principal peaks in the range 15 to 90 degrees two-theta, by angle:
Position (°2θ), I (rel.)
25.1, 49
32.4, 100
33.1, 82
36.3, 19
37.2, 47
55.4, 21

=====

(9)
K2UTlF8: theoretical powder diffractogram (Cu Kα), based on the GGA-PBE geometry in Alexandria.

Atomic structure:
```
data_K2UTlF8
_chemical_formula_sum 'K4 U2 Tl2 F16'
_symmetry_space_group_name_H-M 'I -4 m 2'
_symmetry_Int_Tables_number 119
_symmetry_space_group_name_Hall 'I -4 -2'
_cell_length_a 6.046
_cell_length_b 6.046
_cell_length_c 12.210
_cell_angle_alpha 90.00
_cell_angle_beta 90.00
_cell_angle_gamma 90.00
loop_
_atom_site_label
_atom_site_type_symbol
_atom_site_fract_x
_atom_site_fract_y
_atom_site_fract_z
K1 K 0.000 0.000 0.000
K2 K 0.000 0.500 0.250
U1 U 0.000 0.500 0.750
Tl1 Tl 0.000 0.000 0.500
F1 F 0.210 0.286 0.855
```

Principal peaks in the range 15 to 90 degrees two-theta, by angle:
Position (°2θ), I (rel.)
16.4, 74
25.4, 100
34.0, 19
42.1, 40
42.3, 20
50.0, 31

=====

(10)
Ti3TePb4O13: theoretical powder diffractogram (Cu Kα), based on the GGA-PBE geometry in Alexandria.

Atomic structure:
```
data_Ti3TePb4O13
_chemical_formula_sum 'Ti9 Te3 Pb12 O39'
_symmetry_space_group_name_H-M 'R 3 m'
_symmetry_Int_Tables_number 160
_symmetry_space_group_name_Hall 'R 3 -2"'
_cell_length_a 7.3776
_cell_length_b 7.3776
_cell_length_c 18.2361
_cell_angle_alpha 90.00
_cell_angle_beta 90.00
_cell_angle_gamma 120.00
loop_
_atom_site_label
_atom_site_type_symbol
_atom_site_fract_x
_atom_site_fract_y
_atom_site_fract_z
Ti1 Ti 0.1675 0.3349 0.0000
Te1 Te 0.0000 0.0000 0.1672
Pb1 Pb 0.0000 0.0000 0.6681
Pb2 Pb 0.1702 0.3405 0.4997
O1 O 0.0000 0.0000 0.5405
O2 O 0.0773 0.5387 0.7757
O3 O 0.0826 0.5413 0.0234
O4 O 0.2050 0.4100 0.6430
O5 O 0.2070 0.4140 0.8931
```

Principal peaks in the range 15 to 90 degrees two-theta, by angle:
Position (°2θ), I (rel.)
29.4, 34
29.6, 100
34.3, 50
49.1, 30
49.4, 28
58.5, 29

=====

(11)
CuHgBr2: theoretical powder diffractogram (Cu Kα), based on the GGA-PBE geometry in Alexandria.

Atomic structure:
```
data_CuHgBr2
_chemical_formula_sum 'Cu2 Hg2 Br4'
_symmetry_space_group_name_H-M 'C m m m'
_symmetry_Int_Tables_number 65
_symmetry_space_group_name_Hall '-C 2 2'
_cell_length_a 3.488
_cell_length_b 8.143
_cell_length_c 10.046
_cell_angle_alpha 90.00
_cell_angle_beta 90.00
_cell_angle_gamma 90.00
loop_
_atom_site_label
_atom_site_type_symbol
_atom_site_fract_x
_atom_site_fract_y
_atom_site_fract_z
Cu1 Cu 0.000 0.000 0.000
Hg1 Hg 0.000 0.000 0.500
Br1 Br 0.000 0.500 0.167
```

Principal peaks in the range 15 to 90 degrees two-theta, by angle:
Position (°2θ), I (rel.)
17.7, 29
21.8, 100
29.2, 46
33.2, 92
45.9, 37
46.1, 37

=====

(12)
Ta12Ga3Te8Se16: theoretical powder diffractogram (Cu Kα), based on the GGA-PBE geometry in Alexandria.

Atomic structure:
```
data_Ta12Ga3Te8Se16
_chemical_formula_sum 'Ta12 Ga3 Te8 Se16'
_symmetry_space_group_name_H-M 'P 1'
_symmetry_Int_Tables_number 1
_cell_length_a 7.625
_cell_length_b 7.698
_cell_length_c 18.782
_cell_angle_alpha 89.26
_cell_angle_beta 89.97
_cell_angle_gamma 60.45
loop_
_symmetry_equiv_pos_as_xyz
'x,y,z'
loop_
_atom_site_label
_atom_site_type_symbol
_atom_site_fract_x
_atom_site_fract_y
_atom_site_fract_z
Ta1 Ta 0.000 0.000 0.000
Ta2 Ta 0.016 0.587 0.994
Ta3 Ta 0.204 0.211 0.802
Ta4 Ta 0.284 0.668 0.335
Ta5 Ta 0.335 0.328 0.671
Ta6 Ta 0.352 0.925 0.665
Ta7 Ta 0.542 0.541 0.465
Ta8 Ta 0.619 0.000 0.001
Ta9 Ta 0.669 0.661 0.335
Ta10 Ta 0.688 0.257 0.330
Ta11 Ta 0.874 0.875 0.130
Ta12 Ta 0.951 0.334 0.670
Ga1 Ga 0.192 0.195 0.203
Ga2 Ga 0.552 0.515 0.874
Ga3 Ga 0.859 0.860 0.538
Te1 Te 0.027 0.564 0.246
Te2 Te 0.212 0.192 0.064
Te3 Te 0.237 0.679 0.580
Te4 Te 0.364 0.891 0.913
Te5 Te 0.547 0.524 0.734
Te6 Te 0.570 0.013 0.244
Te7 Te 0.693 0.229 0.581
Te8 Te 0.878 0.859 0.399
Se1 Se 0.025 0.010 0.246
Se2 Se 0.028 0.561 0.747
Se3 Se 0.047 0.018 0.744
Se4 Se 0.211 0.194 0.569
Se5 Se 0.225 0.683 0.074
Se6 Se 0.364 0.893 0.412
Se7 Se 0.365 0.343 0.914
Se8 Se 0.381 0.350 0.409
Se9 Se 0.544 0.527 0.234
Se10 Se 0.558 0.017 0.747
Se11 Se 0.691 0.677 0.581
Se12 Se 0.696 0.229 0.077
Se13 Se 0.714 0.682 0.074
Se14 Se 0.879 0.861 0.899
Se15 Se 0.895 0.349 0.411
Se16 Se 0.912 0.343 0.913
```

Principal peaks in the range 15 to 90 degrees two-theta, by angle:
Position (°2θ), I (rel.)
16.3, 25
33.0, 100
33.1, 48
40.9, 25
43.4, 24
47.7, 33